(1)
The following is a computed X-ray diffraction stick pattern of SbPHO5. It was derived from a structure optimized by DFT (GGA-PBE), using Cu Kα X-rays.
Intensities are scaled so that the largest is 100.

```
16
Lattice="5.2290 0.0000 0.0000 -0.4774 5.6290 0.0000 -2.1155 -2.7107 6.8993" Properties=species:S:1:pos:R:3 pbc="T T T"
Sb 0.0000 0.0000 0.0000
Sb 1.3181 1.4591 3.4496
P -1.3149 0.1528 4.9865
P 3.9510 2.7655 1.9128
H 0.2299 2.1261 5.5710
H 2.4062 0.7921 1.3283
O -1.0415 -1.1735 5.6760
O -1.1670 1.3782 5.9312
O -0.3041 0.3258 3.7848
O 0.1676 2.8356 2.5273
O 1.5189 0.4809 1.7162
O 1.1173 2.4373 5.1831
O 2.4685 0.0826 4.3720
O 2.9402 2.5925 3.1144
O 3.8032 1.5401 0.9681
O 3.6777 4.0917 1.2232
```

Top 10 peaks for 10° ≤ 2θ ≤ 80°, by angle:
two_theta	I/Imax
17.10	100
18.45	61
22.25	54
24.81	84
25.34	64
27.96	65
34.01	27
34.66	32
35.51	29
36.44	27

---

(2)
The following is a computed X-ray diffraction stick pattern of KBr. It was derived from a structure optimized by DFT (GGA-PBE), using Cu Kα X-rays.
Intensities are scaled so that the largest is 100.

```
2
Lattice="4.0435 0.0000 0.0000 0.0000 4.0435 0.0000 0.0000 0.0000 4.0435" Properties=species:S:1:pos:R:3 pbc="T T T"
K 0.0000 0.0000 0.0000
Br 2.0217 2.0217 2.0217
```

Top 10 peaks for 10° ≤ 2θ ≤ 80°, by angle:
two_theta	I/Imax
21.98	13
31.28	100
38.57	4
44.83	17
50.47	6
55.68	35
65.27	11
69.78	3
74.16	15
78.45	2